Starting from a PBE-relaxed structure, the XRD peak list of RbNa10Li2 was computed for Cu Kα X-rays.
No peak broadening, texture or thermal motion is included.

Atomic structure:
```
data_RbNa10Li2
_chemical_formula_sum 'Rb4 Na40 Li8'
_space_group_name_H-M_alt 'C m c m'
_space_group_IT_number 63
_space_group_name_Hall '-C 2c 2'
_cell_length_a 12.0497
_cell_length_b 13.9263
_cell_length_c 11.8043
_cell_angle_alpha 90.00
_cell_angle_beta 90.00
_cell_angle_gamma 90.00
loop_
_atom_site_label
_atom_site_fract_x
_atom_site_fract_y
_atom_site_fract_z
Rb1 0.0000 0.1196 0.2500
Na1 0.0000 0.1685 0.5970
Na2 0.0000 0.3865 0.0643
Na3 0.1450 0.3806 0.7500
Na4 0.2236 0.0000 0.0000
Na5 0.2370 0.3609 0.2500
Li1 0.2500 0.2500 0.0000
```

Peak list (10 most intense, 5° ≤ 2θ ≤ 70°, low angle first)
d/Å  2θ/deg  I_rel  h k l
6.012  14.73  25.5  2 0 0
4.251  20.90  35.3  2 2 1
3.483  25.57  37.8  0 4 0
3.426  26.01  50.2  0 2 3
3.230  27.62  60.2  3 1 2
3.013  29.65  62.1  4 0 0
2.999  29.79  46.9  0 4 2
2.978  30.01  100.0  2 2 3
2.946  30.34  52.4  0 0 4
1.733  52.84  27.2  6 2 3